(1)
Starting from a PBE-relaxed structure, the X-ray diffraction stick pattern of CdAg3 was calculated for a wavelength of 1.5418 Å.
Kinematic intensities with the Lorentz-polarization factor, no thermal factor.

Lattice parameters (Å, degrees): 4.217 4.217 4.217 90.00 90.00 90.00
Element x y z (fractional)
Cd 0.000 0.000 0.000
Ag 0.000 0.500 0.500
Ag 0.500 0.000 0.500
Ag 0.500 0.500 0.000

Top 5 peaks for 10° ≤ 2θ ≤ 90°, in order of rising 2θ:
two_theta	I_rel
36.92	100.0
42.89	48.5
62.27	30.3
74.65	35.0
78.59	10.2



(2)
Starting from a PBE-relaxed structure, the X-ray diffraction stick pattern of Mn3Cr2N4 was calculated for a wavelength of 1.5418 Å.
Kinematic intensities with the Lorentz-polarization factor, no thermal factor.

Lattice parameters (Å, degrees): 6.174 6.174 5.389 93.75 93.75 63.40
Element x y z (fractional)
Mn 0.175 0.825 0.750
Mn 0.224 0.412 0.554
Mn 0.412 0.224 0.054
Mn 0.588 0.776 0.946
Mn 0.776 0.588 0.446
Mn 0.825 0.175 0.250
Cr 0.014 0.306 0.868
Cr 0.306 0.014 0.368
Cr 0.694 0.986 0.632
Cr 0.986 0.694 0.132
N 0.009 0.255 0.519
N 0.210 0.504 0.893
N 0.255 0.009 0.019
N 0.496 0.790 0.607
N 0.504 0.210 0.393
N 0.745 0.991 0.981
N 0.790 0.496 0.107
N 0.991 0.745 0.481

Top 6 peaks for 10° ≤ 2θ ≤ 90°, in order of rising 2θ:
two_theta	I_rel
16.93	54.5
34.58	34.4
36.39	74.7
37.25	100.0
46.72	83.4
52.41	33.5



(3)
Starting from a PBE-relaxed structure, the X-ray diffraction stick pattern of CeSe2 was calculated for a wavelength of 1.5418 Å.
Kinematic intensities with the Lorentz-polarization factor, no thermal factor.

Lattice parameters (Å, degrees): 9.659 9.659 9.659 25.70 25.70 25.70
Element x y z (fractional)
Ce 0.000 0.000 0.000
Se 0.385 0.385 0.385
Se 0.615 0.615 0.615

Top 6 peaks for 10° ≤ 2θ ≤ 90°, in order of rising 2θ:
two_theta	I_rel
24.75	46.9
28.80	100.0
35.20	57.3
42.05	39.9
43.21	43.3
48.84	28.4



(4)
Starting from a PBE-relaxed structure, the X-ray diffraction stick pattern of RbCr2S4 was calculated for a wavelength of 1.5418 Å.
Kinematic intensities with the Lorentz-polarization factor, no thermal factor.

Lattice parameters (Å, degrees): 6.947 15.973 6.004 90.00 90.00 90.00
Element x y z (fractional)
Rb 0.250 0.250 0.038
Rb 0.250 0.750 0.341
Rb 0.750 0.250 0.659
Rb 0.750 0.750 0.962
Cr 0.000 0.000 0.500
Cr 0.000 0.500 0.500
Cr 0.250 0.502 0.984
Cr 0.250 0.998 0.984
Cr 0.500 0.000 0.500
Cr 0.500 0.500 0.500
Cr 0.750 0.002 0.016
Cr 0.750 0.498 0.016
S 0.000 0.083 0.836
S 0.000 0.417 0.836
S 0.000 0.583 0.164
S 0.000 0.917 0.164
S 0.250 0.079 0.332
S 0.250 0.421 0.332
S 0.250 0.584 0.668
S 0.250 0.916 0.668
S 0.500 0.083 0.836
S 0.500 0.417 0.836
S 0.500 0.583 0.164
S 0.500 0.917 0.164
S 0.750 0.084 0.332
S 0.750 0.416 0.332
S 0.750 0.579 0.668
S 0.750 0.921 0.668

Top 6 peaks for 10° ≤ 2θ ≤ 90°, in order of rising 2θ:
two_theta	I_rel
11.08	99.1
20.33	41.7
22.27	36.1
34.26	100.0
37.45	74.4
52.76	51.0